(1)
This entry pairs a crystal structure of Ca3TlIr with its computed X-ray powder pattern. Radiation: λ = 1.5418 Å (Cu Kα). Structure: a cell relaxed with GGA-PBE.

Principal peaks in the range 2θ from 10° to 90°, by angle:
2theta, I/Imax
20.72, 100
21.03, 42
34.34, 86
34.53, 46
36.67, 36
42.17, 22
46.17, 25
50.83, 22

a b c (Å): 9.8039 9.0678 5.9651
angles (deg): 78.43 64.98 36.59
Fractional positions:
Ca (0.1924, 0.5794, 0.4206)
Ca (0.2036, 0.2036, 0.7964)
Ca (0.4206, 0.8076, 0.1924)
Ca (0.5794, 0.1924, 0.8076)
Ca (0.7964, 0.7964, 0.2036)
Ca (0.8076, 0.4206, 0.5794)
Tl (0.2207, 0.7793, 0.7793)
Tl (0.7793, 0.2207, 0.2207)
Ir (0.2500, 0.2500, 0.2500)
Ir (0.7500, 0.7500, 0.7500)


(2)
This entry pairs a crystal structure of Ba6PtCl with its computed X-ray powder pattern. Radiation: λ = 1.5418 Å (Cu Kα). Structure: a cell relaxed with GGA-PBE.

Principal peaks in the range 2θ from 10° to 90°, by angle:
2theta, I/Imax
12.82, 20
17.41, 22
25.27, 100
32.69, 42
39.14, 33
42.51, 26
47.17, 18
63.80, 17

a b c (Å): 7.9722 7.9722 15.0848
angles (deg): 90.00 90.00 120.00
Fractional positions:
Ba (0.0020, 0.3243, 0.1197)
Ba (0.0020, 0.6777, 0.3803)
Ba (0.3223, 0.3243, 0.3803)
Ba (0.3223, 0.9980, 0.1197)
Ba (0.3243, 0.0020, 0.6197)
Ba (0.3243, 0.3223, 0.8803)
Ba (0.6757, 0.6777, 0.1197)
Ba (0.6757, 0.9980, 0.3803)
Ba (0.6777, 0.0020, 0.8803)
Ba (0.6777, 0.6757, 0.6197)
Ba (0.9980, 0.3223, 0.6197)
Ba (0.9980, 0.6757, 0.8803)
Pt (0.0000, 0.0000, 0.0000)
Pt (0.0000, 0.0000, 0.5000)
Cl (0.3333, 0.6667, 0.7500)
Cl (0.6667, 0.3333, 0.2500)


(3)
This entry pairs a crystal structure of Pr3Sm4Bi4 with its computed X-ray powder pattern. Radiation: λ = 1.5418 Å (Cu Kα). Structure: a cell relaxed with GGA-PBE.

Principal peaks in the range 2θ from 10° to 90°, by angle:
2theta, I/Imax
19.53, 22
27.45, 69
30.32, 29
31.00, 26
31.44, 100
37.12, 28
40.55, 39
40.93, 25

a b c (Å): 11.7905 7.4722 7.4722
angles (deg): 34.65 90.00 90.00
Fractional positions:
Pr (0.0000, 0.0000, 0.0000)
Pr (0.3543, 0.0735, 0.0735)
Pr (0.6457, 0.0735, 0.0735)
Sm (0.0000, 0.3030, 0.3030)
Sm (0.2425, 0.7707, 0.7707)
Sm (0.5000, 0.3713, 0.3713)
Sm (0.7575, 0.7707, 0.7707)
Bi (0.0000, 0.6557, 0.6557)
Bi (0.2205, 0.4392, 0.4392)
Bi (0.5000, 0.7011, 0.7011)
Bi (0.7795, 0.4392, 0.4392)


(4)
This entry pairs a crystal structure of NpPaTe2O with its computed X-ray powder pattern. Radiation: λ = 1.5418 Å (Cu Kα). Structure: a cell relaxed with GGA-PBE.

Principal peaks in the range 2θ from 10° to 90°, by angle:
2theta, I/Imax
12.27, 17
24.82, 21
30.58, 93
32.96, 100
39.69, 21
43.80, 39
55.89, 46
72.28, 16

a b c (Å): 4.1337 4.1337 14.4276
angles (deg): 90.00 90.00 90.00
Fractional positions:
Np (0.2500, 0.2500, 0.0766)
Np (0.7500, 0.7500, 0.9234)
Pa (0.2500, 0.2500, 0.5859)
Pa (0.7500, 0.7500, 0.4141)
Te (0.2500, 0.2500, 0.3654)
Te (0.2500, 0.2500, 0.8073)
Te (0.7500, 0.7500, 0.1927)
Te (0.7500, 0.7500, 0.6346)
O (0.2500, 0.7500, 0.0000)
O (0.7500, 0.2500, 0.0000)